# 1
CuTe2I: theoretical PXRD pattern (Cu Kα (weighted mean of Kα1 and Kα2)), based on DFT lattice parameters and positions (GGA-PBE).
Intensities are scaled so that the largest is 100.

Largest 10 diffraction maxima, by intensity, 15° ≤ 2θ ≤ 90°:
Position (°2θ)	Rel. int.
21.75	100
38.90	44
28.80	33
44.11	24
33.78	23
45.84	21
31.82	13
44.34	13
26.54	13
25.45	12

Atomic structure:
Cell: 9.5482 13.4335 5.1471 Å, 90.00 90.00 90.00°
Sites, in units of the cell vectors:
Cu 0.1848 0.0000 0.0000
Cu 0.3152 0.5000 0.5000
Cu 0.6848 0.5000 0.0000
Cu 0.8152 0.0000 0.5000
Te 0.1365 0.4089 0.8081
Te 0.1365 0.5911 0.1919
Te 0.3635 0.0911 0.3081
Te 0.3635 0.9089 0.6919
Te 0.6365 0.0911 0.1919
Te 0.6365 0.9089 0.8081
Te 0.8635 0.4089 0.6919
Te 0.8635 0.5911 0.3081
I 0.0000 0.1168 0.2500
I 0.0000 0.8832 0.7500
I 0.5000 0.3832 0.7500
I 0.5000 0.6168 0.2500

=====

# 2
NdTh4Sc4: theoretical PXRD pattern (Cu Kα (weighted mean of Kα1 and Kα2)), based on DFT lattice parameters and positions (GGA-PBE).
Intensities are scaled so that the largest is 100.

Largest 10 diffraction maxima, by intensity, 15° ≤ 2θ ≤ 90°:
Position (°2θ)	Rel. int.
31.73	100
36.68	34
62.97	28
53.13	23
26.56	18
37.06	17
63.48	14
66.29	13
87.11	13
17.06	12

Atomic structure:
Cell: 7.7400 7.7400 7.7400 Å, 95.64 95.64 143.47°
Sites, in units of the cell vectors:
Nd 0.0000 0.0000 0.0000
Th 0.3294 0.3294 0.6587
Th 0.3294 0.6706 0.0000
Th 0.6706 0.3294 0.0000
Th 0.6706 0.6706 0.3413
Sc 0.0000 0.3402 0.3402
Sc 0.0000 0.6598 0.6598
Sc 0.3402 0.0000 0.3402
Sc 0.6598 0.0000 0.6598

=====

# 3
RbLiSO4: theoretical PXRD pattern (Cu Kα (weighted mean of Kα1 and Kα2)), based on DFT lattice parameters and positions (GGA-PBE).
Intensities are scaled so that the largest is 100.

Largest 10 diffraction maxima, by intensity, 15° ≤ 2θ ≤ 90°:
Position (°2θ)	Rel. int.
27.79	100
33.45	38
21.60	27
19.13	21
27.34	17
39.29	14
40.57	13
56.38	11
44.02	11
38.82	10

Atomic structure:
Cell: 9.2667 5.3634 17.7889 Å, 90.00 90.04 90.00°
Sites, in units of the cell vectors:
Rb 0.2238 0.2473 0.2518
Rb 0.2238 0.2527 0.7518
Rb 0.2740 0.2343 0.0018
Rb 0.2740 0.2657 0.5018
Rb 0.7260 0.7343 0.4982
Rb 0.7260 0.7657 0.9982
Rb 0.7762 0.7473 0.2482
Rb 0.7762 0.7527 0.7482
Li 0.0875 0.7427 0.9098
Li 0.0875 0.7573 0.4098
Li 0.4113 0.7487 0.6600
Li 0.4113 0.7513 0.1600
Li 0.5887 0.2487 0.8400
Li 0.5887 0.2513 0.3400
Li 0.9125 0.2427 0.5902
Li 0.9125 0.2573 0.0902
S 0.0795 0.7474 0.6023
S 0.0795 0.7526 0.1023
S 0.4195 0.7471 0.8523
S 0.4195 0.7529 0.3523
S 0.5805 0.2471 0.6477
S 0.5805 0.2529 0.1477
S 0.9205 0.2474 0.8977
S 0.9205 0.2526 0.3977
O 0.0434 0.0816 0.8760
O 0.0434 0.4184 0.3760
O 0.0532 0.0028 0.6329
O 0.0532 0.4972 0.1329
O 0.0916 0.7416 0.0191
O 0.0916 0.7584 0.5191
O 0.2163 0.6435 0.6335
O 0.2163 0.8565 0.1335
O 0.2861 0.6440 0.8874
O 0.2861 0.8560 0.3874
O 0.4009 0.7472 0.7692
O 0.4009 0.7528 0.2692
O 0.4447 0.0076 0.8792
O 0.4447 0.4924 0.3792
O 0.4543 0.0885 0.6265
O 0.4543 0.4115 0.1265
O 0.5457 0.5885 0.8735
O 0.5457 0.9115 0.3735
O 0.5553 0.5076 0.6208
O 0.5553 0.9924 0.1208
O 0.5991 0.2472 0.7308
O 0.5991 0.2528 0.2308
O 0.7139 0.1440 0.6126
O 0.7139 0.3560 0.1126
O 0.7837 0.1435 0.8665
O 0.7837 0.3565 0.3665
O 0.9084 0.2416 0.4809
O 0.9084 0.2584 0.9809
O 0.9468 0.5028 0.8671
O 0.9468 0.9972 0.3671
O 0.9566 0.5816 0.6240
O 0.9566 0.9184 0.1240